This entry pairs a crystal structure of KFe4Si3O12 with its computed XRD peak list. Radiation: Cu Ka. Structure: a cell relaxed with PBE+U.

```
data_KFe4Si3O12
_chemical_formula_sum 'K1 Fe4 Si3 O12'
_space_group_name_H-M_alt 'P 1'
_space_group_IT_number 1
_cell_length_a 5.3972
_cell_length_b 5.3985
_cell_length_c 10.5557
_cell_angle_alpha 94.81
_cell_angle_beta 95.78
_cell_angle_gamma 119.85
loop_
_space_group_symop_operation_xyz
'x,y,z'
loop_
_atom_site_label
_atom_site_fract_x
_atom_site_fract_y
_atom_site_fract_z
K1 0.0000 0.0000 0.0000
Fe1 0.1631 0.8569 0.5211
Fe2 0.5022 0.5049 0.5238
Fe3 0.6002 0.2681 0.7980
Fe4 0.8559 0.1651 0.5266
Si1 0.2631 0.6070 0.8032
Si2 0.4139 0.7529 0.2503
Si3 0.7544 0.4171 0.2509
O1 0.0617 0.5679 0.1907
O2 0.1324 0.1430 0.4256
O3 0.1898 0.5507 0.6398
O4 0.3558 0.9357 0.8624
O5 0.4580 0.8141 0.4070
O6 0.5287 0.5593 0.8531
O7 0.5473 0.1828 0.6150
O8 0.5627 0.5646 0.2005
O9 0.5652 0.0656 0.1935
O10 0.8258 0.4672 0.4079
O11 0.8729 0.8691 0.6124
O12 0.9823 0.3874 0.8639
```

Peak list (10 most intense, 2θ from 10° to 80°, in order of falling intensity)
- 2θ 33.7, d 2.661, intensity 100
- 2θ 25.8, d 3.457, intensity 82
- 2θ 36.3, d 2.472, intensity 43
- 2θ 59.2, d 1.560, intensity 29
- 2θ 36.1, d 2.490, intensity 21
- 2θ 27.9, d 3.197, intensity 17
- 2θ 25.5, d 3.488, intensity 17
- 2θ 53.0, d 1.729, intensity 16
- 2θ 53.4, d 1.715, intensity 15
- 2θ 23.6, d 3.771, intensity 15

This entry pairs a crystal structure of Li7Mn5O12 with its computed XRD peak list. Radiation: Cu Ka. Structure: a cell relaxed with PBE+U.

```
data_Li7Mn5O12
_chemical_formula_sum 'Li7 Mn5 O12'
_space_group_name_H-M_alt 'P 1'
_space_group_IT_number 1
_cell_length_a 5.9694
_cell_length_b 5.9976
_cell_length_c 6.5380
_cell_angle_alpha 76.46
_cell_angle_beta 75.40
_cell_angle_gamma 86.02
loop_
_space_group_symop_operation_xyz
'x,y,z'
loop_
_atom_site_label
_atom_site_fract_x
_atom_site_fract_y
_atom_site_fract_z
Li1 0.0000 0.0000 0.0000
Li2 0.0023 0.5042 0.0006
Li3 0.3343 0.8395 0.6710
Li4 0.3380 0.3224 0.6825
Li5 0.4965 0.9980 0.9959
Li6 0.6619 0.1568 0.3300
Li7 0.6649 0.6772 0.3168
Mn1 0.1720 0.6759 0.3334
Mn2 0.1729 0.1713 0.3346
Mn3 0.5012 0.5003 0.0028
Mn4 0.8253 0.3258 0.6760
Mn5 0.8249 0.8344 0.6659
O1 0.0780 0.1031 0.6593
O2 0.0794 0.6052 0.6465
O3 0.2540 0.7335 0.0203
O4 0.2704 0.2719 0.0217
O5 0.3813 0.9068 0.3358
O6 0.4200 0.4456 0.3180
O7 0.5784 0.5559 0.6907
O8 0.5976 0.0714 0.6555
O9 0.7294 0.7287 0.9826
O10 0.7417 0.2650 0.9963
O11 0.9230 0.8994 0.3382
O12 0.9480 0.4309 0.3498
```

Peak list (10 most intense, 2θ from 10° to 80°, in order of falling intensity)
- 2θ 18.3, d 4.844, intensity 100
- 2θ 41.3, d 2.188, intensity 34
- 2θ 44.1, d 2.055, intensity 28
- 2θ 44.4, d 2.041, intensity 28
- 2θ 34.3, d 2.614, intensity 16
- 2θ 62.0, d 1.496, intensity 16
- 2θ 36.2, d 2.481, intensity 13
- 2θ 36.4, d 2.470, intensity 11
- 2θ 61.9, d 1.500, intensity 8
- 2θ 62.4, d 1.489, intensity 8